Record 1
This entry pairs a crystal structure of KTaP2 with its computed powder diffractogram. Radiation: Cu Kα (weighted mean of Kα1 and Kα2). Structure: a DFT-relaxed cell (GGA-PBE, Alexandria).
Kinematic intensities with the Lorentz-polarization factor, no thermal factor.

Structure:
```
KTaP2
1.0
1.793 1.035 7.803
-1.793 1.035 7.803
0.000 -2.071 7.803
K Ta P
1 1 2
direct
0.000 0.000 0.000 K
0.500 0.500 0.500 Ta
0.230 0.230 0.230 P
0.770 0.770 0.770 P
```

Largest 6 diffraction maxima, low angle first, 15 to 90 degrees two-theta:
3.902 Å, 2θ 22.79, intensity 33; 3.079 Å, 2θ 29.00, intensity 30; 3.002 Å, 2θ 29.76, intensity 43; 2.744 Å, 2θ 32.64, intensity 100; 2.130 Å, 2θ 42.44, intensity 41; 1.793 Å, 2θ 50.92, intensity 29

Record 2
This entry pairs a crystal structure of AcAlIn2S6 with its computed powder diffractogram. Radiation: Cu Kα (weighted mean of Kα1 and Kα2). Structure: a DFT-relaxed cell (GGA-PBE, Alexandria).
Kinematic intensities with the Lorentz-polarization factor, no thermal factor.

Structure:
```
AcAlIn2S6
1.0
6.761 -5.758 0.000
6.761 5.758 0.000
-3.216 0.000 6.975
Ac Al In S
2 2 4 12
direct
0.166 0.834 0.750 Ac
0.834 0.166 0.250 Ac
0.178 0.822 0.250 Al
0.822 0.178 0.750 Al
0.253 0.373 0.827 In
0.373 0.253 0.327 In
0.627 0.747 0.673 In
0.747 0.627 0.173 In
0.047 0.166 0.659 S
0.124 0.630 0.972 S
0.166 0.047 0.159 S
0.249 0.462 0.547 S
0.370 0.876 0.528 S
0.462 0.249 0.047 S
0.538 0.751 0.953 S
0.630 0.124 0.472 S
0.751 0.538 0.453 S
0.834 0.953 0.841 S
0.876 0.370 0.028 S
0.953 0.834 0.341 S
```

Largest 6 diffraction maxima, low angle first, 15 to 90 degrees two-theta:
4.740 Å, 2θ 18.72, intensity 75; 4.200 Å, 2θ 21.15, intensity 58; 4.163 Å, 2θ 21.34, intensity 75; 3.857 Å, 2θ 23.06, intensity 100; 3.014 Å, 2θ 29.64, intensity 51; 2.661 Å, 2θ 33.68, intensity 60

Record 3
This entry pairs a crystal structure of Ba2NdMg12Cd3 with its computed powder diffractogram. Radiation: Cu Kα (weighted mean of Kα1 and Kα2). Structure: a DFT-relaxed cell (GGA-PBE, Alexandria).
Kinematic intensities with the Lorentz-polarization factor, no thermal factor.

Structure:
```
Ba2NdMg12Cd3
1.0
4.450 2.569 8.445
-4.450 2.569 8.445
0.000 -5.138 8.445
Ba Nd Mg Cd
2 1 12 3
direct
0.084 0.084 0.084 Ba
0.916 0.916 0.916 Ba
0.500 0.500 0.500 Nd
0.043 0.671 0.671 Mg
0.282 0.282 0.631 Mg
0.282 0.631 0.282 Mg
0.329 0.329 0.957 Mg
0.329 0.957 0.329 Mg
0.369 0.718 0.718 Mg
0.631 0.282 0.282 Mg
0.671 0.043 0.671 Mg
0.671 0.671 0.043 Mg
0.718 0.369 0.718 Mg
0.718 0.718 0.369 Mg
0.957 0.329 0.329 Mg
0.000 0.500 0.500 Cd
0.500 0.000 0.500 Cd
0.500 0.500 0.000 Cd
```

Largest 6 diffraction maxima, low angle first, 15 to 90 degrees two-theta:
3.810 Å, 2θ 23.35, intensity 100; 3.687 Å, 2θ 24.14, intensity 98; 3.276 Å, 2θ 27.22, intensity 88; 2.525 Å, 2θ 35.55, intensity 96; 2.269 Å, 2θ 39.72, intensity 61; 2.225 Å, 2θ 40.55, intensity 65